For TlCuSb2I, a structure optimized by DFT (PBE) gives the calculated powder XRD pattern in this record (Cu Kα X-rays).
Kinematic intensities with the Lorentz-polarization factor, no thermal factor.

Top 10 peaks for 2θ from 15° to 90°, in order of rising 2θ:
d (Å)	Position (°2θ)	I/Imax	index
3.986	22.30	15	1 0 1
3.266	27.30	46	0 0 2
3.125	28.57	100	1 1 1
2.516	35.69	46	2 0 0
1.993	45.51	46	2 0 2
1.857	49.05	23	1 1 3
1.779	51.36	16	2 2 0
1.562	59.13	21	2 2 2
1.546	59.82	25	3 1 1
1.285	73.75	14	3 1 3

Structure:
Cell lengths 5.032, 5.032, 6.533 Å; angles 90.00, 90.00, 90.00 degrees
Fractional positions:
Tl 0.000 0.000 0.000
Cu 0.500 0.500 0.500
Sb 0.000 0.500 0.500
Sb 0.500 0.000 0.500
I 0.500 0.500 0.000

***

For Ac4CoSeI2, a structure optimized by DFT (PBE) gives the calculated powder XRD pattern in this record (Cu Kα X-rays).
Kinematic intensities with the Lorentz-polarization factor, no thermal factor.

Top 10 peaks for 2θ from 15° to 90°, in order of rising 2θ:
d (Å)	Position (°2θ)	I/Imax	index
3.610	24.66	20	1 1 -1
3.367	26.47	57	2 0 -2
3.265	27.31	100	1 1 1
3.215	27.75	14	2 0 1
3.004	29.74	23	1 1 -2
2.797	32.00	21	0 0 3
2.402	37.44	27	1 1 -3
2.290	39.34	41	3 1 -1
2.138	42.27	20	0 2 0
1.805	50.57	20	2 2 -2

Structure:
Cell lengths 8.141, 4.276, 8.739 Å; angles 90.00, 106.23, 90.00 degrees
Fractional positions:
Ac 0.197 0.000 0.182
Ac 0.246 0.500 0.803
Ac 0.754 0.500 0.197
Ac 0.803 0.000 0.818
Co 0.000 0.500 0.000
Se 0.500 0.000 0.000
I 0.000 0.000 0.500
I 0.500 0.500 0.500

***

For Pr6ErTm4, a structure optimized by DFT (PBE) gives the calculated powder XRD pattern in this record (Cu Kα X-rays).
Kinematic intensities with the Lorentz-polarization factor, no thermal factor.

Top 10 peaks for 2θ from 15° to 90°, in order of rising 2θ:
d (Å)	Position (°2θ)	I/Imax	index
3.200	27.89	21	3 0 0
2.999	29.79	30	1 1 1
2.862	31.25	83	2 0 1
2.771	32.31	100	2 2 0
2.543	35.29	33	2 1 1
2.381	37.78	14	3 0 1
1.991	45.56	20	4 0 1
1.806	50.54	15	4 1 1
1.617	56.96	14	4 2 1
1.499	61.88	31	2 2 2

Structure:
Cell lengths 11.083, 11.083, 3.566 Å; angles 90.00, 90.00, 120.00 degrees
Fractional positions:
Pr 0.182 0.363 0.000
Pr 0.182 0.818 0.000
Pr 0.527 0.053 0.500
Pr 0.527 0.473 0.500
Pr 0.637 0.818 0.000
Pr 0.947 0.473 0.500
Er 0.000 0.000 0.500
Tm 0.314 0.157 0.000
Tm 0.333 0.667 0.500
Tm 0.843 0.157 0.000
Tm 0.843 0.686 0.000